LiMg2Ag: computed X-ray powder pattern (a wavelength of 1.5418 Å), based on a structure optimized by DFT (GGA-PBE).
Peak positions follow from Bragg's law for the DFT cell and can differ from measured ones.

Largest 12 diffraction maxima, most intense first, 2θ from 10° to 90°:
- 2θ 33.87, rel. 100.0
- 2θ 36.79, rel. 77.7
- 2θ 40.27, rel. 55.2
- 2θ 37.61, rel. 38.9
- 2θ 37.01, rel. 38.0
- 2θ 18.55, rel. 35.5
- 2θ 46.48, rel. 30.7
- 2θ 27.98, rel. 29.5
- 2θ 39.63, rel. 28.7
- 2θ 35.77, rel. 21.0
- 2θ 59.34, rel. 19.7
- 2θ 33.50, rel. 19.3

Structure:
Cell: 3.1154 3.1154 9.7655 Å, 100.06 100.06 59.66°
Element x y z (fractional)
Li (0.0000, 0.0000, 0.0000)
Mg (0.5828, 0.5828, 0.7409)
Mg (0.7536, 0.7536, 0.2604)
Ag (0.1665, 0.1665, 0.5008)